Record 1
This entry pairs a crystal structure of MgNb2Si with its calculated X-ray diffraction stick pattern. Radiation: Cu Kα, 1.54184 Å. Structure: a PBE-relaxed structure.
Lines closer than 0.1° are merged.

```
MgNb2Si
1.0
0.000 3.234 3.234
3.234 0.000 3.234
3.234 3.234 0.000
Mg Nb Si
1 2 1
direct
0.000 0.000 0.000 Mg
0.250 0.250 0.250 Nb
0.500 0.500 0.500 Nb
0.750 0.750 0.750 Si
```

Top 9 peaks for 2θ from 15° to 90°, sorted by position:
two_theta  I_rel
23.8  39
39.4  100
46.6  19
56.9  17
62.6  8
71.4  33
76.5  6
84.8  10
89.7  6

***

Record 2
This entry pairs a crystal structure of Re12W with its calculated X-ray diffraction stick pattern. Radiation: Cu Kα, 1.54184 Å. Structure: a PBE-relaxed structure.
Lines closer than 0.1° are merged.

```
Re12W
1.0
2.538 1.465 8.982
-2.538 1.465 8.982
0.000 -2.930 8.982
Re W
12 1
direct
0.046 0.046 0.046 Re
0.082 0.590 0.590 Re
0.152 0.152 0.152 Re
0.334 0.334 0.334 Re
0.410 0.410 0.918 Re
0.410 0.918 0.410 Re
0.590 0.082 0.590 Re
0.590 0.590 0.082 Re
0.666 0.666 0.666 Re
0.848 0.848 0.848 Re
0.918 0.410 0.410 Re
0.954 0.954 0.954 Re
0.500 0.500 0.500 W
```

Top 10 peaks for 2θ from 15° to 90°, sorted by position:
two_theta  I_rel
35.4  46
39.2  42
40.2  26
40.8  100
41.2  47
42.2  53
44.5  50
47.6  26
68.2  27
74.8  36

***

Record 3
This entry pairs a crystal structure of CoAs2Pd with its calculated X-ray diffraction stick pattern. Radiation: Cu Kα, 1.54184 Å. Structure: a PBE-relaxed structure.
Lines closer than 0.1° are merged.

```
CoAs2Pd
1.0
4.026 0.000 0.000
0.000 4.026 0.000
0.000 0.000 7.585
Co As Pd
2 4 2
direct
0.250 0.250 0.193 Co
0.750 0.750 0.807 Co
0.250 0.250 0.704 As
0.250 0.750 0.000 As
0.750 0.250 0.000 As
0.750 0.750 0.296 As
0.250 0.750 0.500 Pd
0.750 0.250 0.500 Pd
```

Top 10 peaks for 2θ from 15° to 90°, sorted by position:
two_theta  I_rel
23.5  6
32.4  14
39.6  100
45.0  41
48.0  8
53.4  8
58.5  8
65.6  13
67.9  11
79.4  27

***

Record 4
This entry pairs a crystal structure of Ba3SrIr2O9 with its calculated X-ray diffraction stick pattern. Radiation: Cu Kα, 1.54184 Å. Structure: a PBE-relaxed structure.
Lines closer than 0.1° are merged.

```
Ba3SrIr2O9
1.0
3.004 -5.153 0.000
3.004 5.153 0.000
-0.740 0.000 14.976
Ba Sr Ir O
6 2 4 18
direct
0.010 0.990 0.750 Ba
0.324 0.657 0.408 Ba
0.343 0.676 0.092 Ba
0.657 0.324 0.908 Ba
0.676 0.343 0.592 Ba
0.990 0.010 0.250 Ba
0.000 0.000 0.000 Sr
0.000 0.000 0.500 Sr
0.312 0.640 0.834 Ir
0.360 0.688 0.666 Ir
0.640 0.312 0.334 Ir
0.688 0.360 0.166 Ir
0.029 0.506 0.734 O
0.132 0.774 0.904 O
0.133 0.316 0.893 O
0.226 0.868 0.596 O
0.231 0.416 0.574 O
0.316 0.133 0.393 O
0.416 0.231 0.074 O
0.493 0.507 0.750 O
0.494 0.971 0.766 O
0.506 0.029 0.234 O
0.507 0.493 0.250 O
0.584 0.769 0.926 O
0.684 0.867 0.607 O
0.769 0.584 0.426 O
0.774 0.132 0.404 O
0.867 0.684 0.107 O
0.868 0.226 0.096 O
0.971 0.494 0.266 O
```

Top 10 peaks for 2θ from 15° to 90°, sorted by position:
two_theta  I_rel
17.9  13
18.2  13
18.3  17
25.3  12
28.8  24
29.5  20
29.8  42
30.0  100
53.0  16
62.3  14

***

> Which formula does entry 3 have?

CoAs2Pd

***

> What is the formula in the third record?

CoAs2Pd